Theoretical powder X-ray diffraction pattern of AcGaF for Cu Kα X-rays, from a structure optimized by DFT (PBE).
Lines closer than 0.1° are merged.

Top 8 peaks for 2θ = 5–70°, by angle:
d = 4.192 Å, 21.2 deg, I = 28, hkl 0 0 6; d = 3.725 Å, 23.9 deg, I = 78, hkl 1 0 1; d = 3.231 Å, 27.6 deg, I = 100, hkl 1 0 4; d = 3.015 Å, 29.6 deg, I = 82, hkl 0 1 5; d = 2.600 Å, 34.5 deg, I = 65, hkl 1 0 7; d = 2.174 Å, 41.5 deg, I = 82, hkl 1 1 0; d = 1.954 Å, 46.5 deg, I = 42, hkl 0 1 11; d = 1.509 Å, 61.5 deg, I = 28, hkl 1 1 12

Atomic structure:
```
data_AcGaF
_cell_length_a 4.3487
_cell_length_b 4.3487
_cell_length_c 25.1493
_cell_angle_alpha 90.00
_cell_angle_beta 90.00
_cell_angle_gamma 120.00
_symmetry_space_group_name_H-M 'R -3 m'
_symmetry_Int_Tables_number 166
_symmetry_space_group_name_Hall '-R 3 2"'
loop_
_atom_site_label
_atom_site_type_symbol
_atom_site_fract_x
_atom_site_fract_y
_atom_site_fract_z
Ac1 Ac 0.0000 0.0000 0.0920
Ga1 Ga 0.0000 0.0000 0.3471
F1 F 0.0000 0.0000 0.1953
```

=====

Theoretical powder X-ray diffraction pattern of Li2AcGaF8 for Cu Kα X-rays, from a structure optimized by DFT (PBE).
Lines closer than 0.1° are merged.

Top 8 peaks for 2θ = 5–70°, by angle:
d = 7.315 Å, 12.1 deg, I = 33, hkl 0 0 1; d = 4.909 Å, 18.1 deg, I = 100, hkl 0 1 0; d = 4.378 Å, 20.3 deg, I = 64, hkl 1 0 0; d = 3.657 Å, 24.3 deg, I = 48, hkl 0 0 2; d = 3.325 Å, 26.8 deg, I = 51, hkl 1 -1 0; d = 3.213 Å, 27.8 deg, I = 37, hkl 1 1 0; d = 3.130 Å, 28.5 deg, I = 36, hkl 0 1 -2; d = 2.766 Å, 32.4 deg, I = 38, hkl 0 1 2

Atomic structure:
```
data_Li2AcGaF8
_cell_length_a 4.3825
_cell_length_b 4.9517
_cell_length_c 7.3778
_cell_angle_alpha 97.27
_cell_angle_beta 91.57
_cell_angle_gamma 91.77
_symmetry_space_group_name_H-M 'P -1'
_symmetry_Int_Tables_number 2
_symmetry_space_group_name_Hall '-P 1'
loop_
_atom_site_label
_atom_site_type_symbol
_atom_site_fract_x
_atom_site_fract_y
_atom_site_fract_z
Li1 Li 0.0308 0.4653 0.3173
Ac1 Ac 0.5000 0.0000 0.0000
Ga1 Ga 0.5000 0.0000 0.5000
F1 F 0.0565 0.2662 0.0695
F2 F 0.1813 0.2527 0.5134
F3 F 0.3270 0.7717 0.2781
F4 F 0.3407 0.7895 0.6820
```

=====

Theoretical powder X-ray diffraction pattern of AcGeF5 for Cu Kα X-rays, from a structure optimized by DFT (PBE).
Lines closer than 0.1° are merged.

Top 8 peaks for 2θ = 5–70°, by angle:
d = 5.019 Å, 17.7 deg, I = 42, hkl 1 1 0; d = 4.590 Å, 19.3 deg, I = 23, hkl 0 0 2; d = 3.629 Å, 24.5 deg, I = 100, hkl 2 0 0; d = 3.476 Å, 25.6 deg, I = 26, hkl 0 2 0; d = 3.187 Å, 28.0 deg, I = 43, hkl 1 1 2; d = 2.509 Å, 35.8 deg, I = 32, hkl 2 2 0; d = 2.207 Å, 40.9 deg, I = 27, hkl 3 1 -2; d = 1.914 Å, 47.5 deg, I = 23, hkl 3 1 2

Atomic structure:
```
data_AcGeF5
_cell_length_a 7.3854
_cell_length_b 6.9513
_cell_length_c 9.3461
_cell_angle_alpha 90.00
_cell_angle_beta 100.84
_cell_angle_gamma 90.00
_symmetry_space_group_name_H-M 'C 1 c 1'
_symmetry_Int_Tables_number 9
_symmetry_space_group_name_Hall 'C -2yc'
loop_
_atom_site_label
_atom_site_type_symbol
_atom_site_fract_x
_atom_site_fract_y
_atom_site_fract_z
Ac1 Ac 0.0000 0.0339 0.0000
Ge1 Ge 0.4816 0.0680 0.7855
F1 F 0.0656 0.3804 0.9320
F2 F 0.2244 0.2423 0.5016
F3 F 0.2699 0.0850 0.2085
F4 F 0.3486 0.1849 0.9199
F5 F 0.4134 0.4818 0.2362
```

=====

Theoretical powder X-ray diffraction pattern of Ac2GeF2 for Cu Kα X-rays, from a structure optimized by DFT (PBE).
Lines closer than 0.1° are merged.

Top 8 peaks for 2θ = 5–70°, by angle:
d = 3.641 Å, 24.4 deg, I = 18, hkl 0 0 2; d = 3.430 Å, 26.0 deg, I = 100, hkl 0 1 1; d = 2.658 Å, 33.7 deg, I = 33, hkl 0 1 2; d = 2.245 Å, 40.2 deg, I = 36, hkl 1 1 0; d = 2.059 Å, 44.0 deg, I = 32, hkl 1 0 3; d = 1.911 Å, 47.6 deg, I = 19, hkl 1 1 2; d = 1.879 Å, 48.5 deg, I = 19, hkl 2 0 1; d = 1.441 Å, 64.7 deg, I = 17, hkl 1 2 1

Atomic structure:
```
data_Ac2GeF2
_cell_length_a 4.4904
_cell_length_b 4.4904
_cell_length_c 7.2828
_cell_angle_alpha 90.00
_cell_angle_beta 90.00
_cell_angle_gamma 120.00
_symmetry_space_group_name_H-M 'P -3 m 1'
_symmetry_Int_Tables_number 164
_symmetry_space_group_name_Hall '-P 3 2"'
loop_
_atom_site_label
_atom_site_type_symbol
_atom_site_fract_x
_atom_site_fract_y
_atom_site_fract_z
Ac1 Ac 0.3333 0.6667 0.2457
Ge1 Ge 0.0000 0.0000 0.0000
F1 F 0.3333 0.6667 0.6034
```